For MgSn2, a PBE-relaxed structure gives the calculated X-ray powder pattern in this record (CuKα).
No peak broadening, texture or thermal motion is included.

```
MgSn2
1.0
5.8445 0.0000 0.0000
-2.9223 5.0615 0.0000
0.0000 0.0000 5.2737
Mg Sn
2 4
Direct
0.3333 0.6667 0.0000
0.6667 0.3333 0.0000
0.0000 0.0000 0.0000
0.0000 0.6602 0.5000
0.3398 0.3398 0.5000
0.6602 0.0000 0.5000
```

Peak list (6 most intense, 10° ≤ 2θ ≤ 90°, sorted by position)
2θ = 30.59°, I 31.5, hkl 1 1 0; 2θ = 34.00°, I 23.3, hkl 0 0 2; 2θ = 35.11°, I 100.0, hkl 1 1 1; 2θ = 46.38°, I 20.5, hkl 1 1 2; 2θ = 61.56°, I 20.3, hkl 1 1 3; 2θ = 65.70°, I 21.4, hkl 3 0 2